Diffraction record for AlFe2As. The PXRD pattern is simulated, not measured: it uses a crystal structure in Alexandria, relaxed with PBE and a wavelength of 1.5418 Å.
Neutral-atom scattering factors, no anomalous dispersion.

Structure:
abc: 3.151 3.940 8.312
angles: 90.00 90.00 90.00
Space group Imm2 (No. 44)
Inequivalent atoms, fractional coordinates:
Al 0.000 0.000 0.000 (multiplicity 2)
Fe 0.000 0.000 0.500 (multiplicity 2)
Fe 0.000 0.500 0.760 (multiplicity 2)
As 0.000 0.500 0.228 (multiplicity 2)

Main lines, sorted by position (15° ≤ 2θ ≤ 90°):
| Position (°2θ) | d [Å] | I_rel | index |
| --- | --- | --- | --- |
| 25.0 | 3.560 | 109 | 0 1 1 |
| 42.7 | 2.118 | 1000 | 1 1 2 |
| 43.5 | 2.078 | 273 | 0 0 4 |
| 46.1 | 1.970 | 204 | 0 2 0 |
| 58.6 | 1.576 | 96 | 2 0 0 |
| 65.3 | 1.430 | 152 | 0 2 4 |
| 75.8 | 1.255 | 77 | 2 0 4 |
| 77.6 | 1.230 | 81 | 2 2 0 |
| 79.4 | 1.207 | 118 | 1 1 6 |
| 83.0 | 1.164 | 131 | 1 3 2 |

Diffraction record for La3OsO7. The PXRD pattern is simulated, not measured: it uses a crystal structure in Alexandria, relaxed with PBE and a wavelength of 1.5418 Å.
Neutral-atom scattering factors, no anomalous dispersion.

Structure:
abc: 11.195 7.585 7.703
angles: 90.00 90.00 90.00
Space group Cmcm (No. 63)
Inequivalent atoms, fractional coordinates:
La 0.000 0.000 0.000 (multiplicity 4)
La 0.224 0.306 0.250 (multiplicity 8)
Os 0.000 0.500 0.000 (multiplicity 4)
O 0.000 0.422 0.250 (multiplicity 4)
O 0.124 0.316 0.538 (multiplicity 16)
O 0.131 0.028 0.250 (multiplicity 8)

Main lines, sorted by position (15° ≤ 2θ ≤ 90°):
| Position (°2θ) | d [Å] | I_rel | index |
| --- | --- | --- | --- |
| 26.2 | 3.402 | 104 | 0 2 1 |
| 28.1 | 3.173 | 1000 | 2 0 2 |
| 28.4 | 3.140 | 842 | 2 2 0 |
| 30.8 | 2.907 | 115 | 2 2 1 |
| 32.0 | 2.799 | 229 | 4 0 0 |
| 33.2 | 2.702 | 410 | 0 2 2 |
| 46.7 | 1.944 | 459 | 4 2 2 |
| 47.2 | 1.926 | 173 | 0 0 4 |
| 56.0 | 1.642 | 252 | 2 2 4 |
| 56.5 | 1.628 | 123 | 2 4 2 |

Diffraction record for Li3Hg2Pd6. The PXRD pattern is simulated, not measured: it uses a crystal structure in Alexandria, relaxed with PBE and a wavelength of 1.5418 Å.
Neutral-atom scattering factors, no anomalous dispersion.

Structure:
abc: 4.796 6.310 6.460
angles: 107.75 105.00 97.80
Space group P-1 (No. 2)
Inequivalent atoms, fractional coordinates:
Li 0.000 0.000 0.000 (multiplicity 1)
Li 0.104 0.822 0.362 (multiplicity 2)
Hg 0.192 0.646 0.740 (multiplicity 2)
Pd 0.269 0.453 0.089 (multiplicity 2)
Pd 0.355 0.266 0.453 (multiplicity 2)
Pd 0.443 0.092 0.805 (multiplicity 2)

Main lines, sorted by position (15° ≤ 2θ ≤ 90°):
| Position (°2θ) | d [Å] | I_rel | index |
| --- | --- | --- | --- |
| 15.2 | 5.843 | 352 | 0 1 0 |
| 25.1 | 3.546 | 193 | 0 1 1 |
| 38.8 | 2.324 | 506 | 1 -1 2 |
| 39.0 | 2.307 | 1000 | 1 2 -2 |
| 39.6 | 2.278 | 487 | -2 1 1 |
| 44.5 | 2.036 | 362 | 1 0 -3 |
| 45.4 | 1.997 | 326 | 1 -3 1 |
| 46.5 | 1.954 | 301 | 2 1 0 |
| 66.8 | 1.400 | 207 | 3 1 -3 |
| 79.2 | 1.210 | 188 | -3 1 4 |

Diffraction record for PmMgAsPd. The PXRD pattern is simulated, not measured: it uses a crystal structure in Alexandria, relaxed with PBE and a wavelength of 1.5418 Å.
Neutral-atom scattering factors, no anomalous dispersion.

Structure:
abc: 6.954 6.954 6.954
angles: 90.00 90.00 90.00
Space group F-43m (No. 216)
Inequivalent atoms, fractional coordinates:
Pm 0.000 0.000 0.000 (multiplicity 4)
Mg 0.000 0.000 0.500 (multiplicity 4)
As 0.250 0.250 0.750 (multiplicity 4)
Pd 0.250 0.250 0.250 (multiplicity 4)

Main lines, sorted by position (15° ≤ 2θ ≤ 90°):
| Position (°2θ) | d [Å] | I_rel | index |
| --- | --- | --- | --- |
| 22.1 | 4.015 | 291 | 1 1 1 |
| 36.5 | 2.458 | 1000 | 2 2 0 |
| 43.1 | 2.097 | 154 | 3 1 1 |
| 52.7 | 1.738 | 173 | 4 0 0 |
| 57.8 | 1.595 | 65 | 3 3 1 |
| 65.8 | 1.419 | 351 | 4 2 2 |
| 70.3 | 1.338 | 49 | 5 1 1 |
| 77.7 | 1.229 | 108 | 4 4 0 |
| 82.0 | 1.175 | 49 | 5 3 1 |
| 89.0 | 1.099 | 158 | 6 2 0 |

Diffraction record for LaTb2TmS6. The PXRD pattern is simulated, not measured: it uses a crystal structure in Alexandria, relaxed with PBE and a wavelength of 1.5418 Å.
Neutral-atom scattering factors, no anomalous dispersion.

Structure:
abc: 7.0169 7.0169 18.5822
angles: 90.00 90.00 120.00
Space group R3 (No. 146, hexagonal axes)
Inequivalent atoms, fractional coordinates:
La 0.0000 0.0000 0.0000 (multiplicity 3)
Tb 0.0000 0.0000 0.2879 (multiplicity 3)
Tb 0.0000 0.0000 0.7935 (multiplicity 3)
Tm 0.0000 0.0000 0.4906 (multiplicity 3)
S 0.0236 0.7224 0.3913 (multiplicity 9)
S 0.0295 0.3581 0.5570 (multiplicity 9)

Main lines, sorted by position (15° ≤ 2θ ≤ 90°):
| Position (°2θ) | d [Å] | I_rel | index |
| --- | --- | --- | --- |
| 17.4 | 5.086 | 382 | 0 1 2 |
| 24.1 | 3.691 | 997 | 1 0 4 |
| 25.4 | 3.508 | 1000 | 1 1 0 |
| 35.3 | 2.543 | 493 | 0 2 4 |
| 38.8 | 2.322 | 753 | 2 -1 6 |
| 44.0 | 2.059 | 490 | 3 -1 4 |
| 44.7 | 2.026 | 487 | 3 0 0 |
| 51.4 | 1.777 | 252 | 1 0 10 |
| 58.2 | 1.585 | 278 | 0 2 10 |
| 64.5 | 1.445 | 239 | 2 1 10 |

Diffraction record for Na17AlGa11. The PXRD pattern is simulated, not measured: it uses a crystal structure in Alexandria, relaxed with PBE and a wavelength of 1.5418 Å.
Neutral-atom scattering factors, no anomalous dispersion.

Structure:
abc: 11.143 15.797 9.631
angles: 90.00 125.22 90.00
Space group Cm (No. 8)
Inequivalent atoms, fractional coordinates:
Na 0.000 0.000 0.000 (multiplicity 2)
Na 0.003 0.000 0.352 (multiplicity 2)
Na 0.067 0.343 0.409 (multiplicity 4)
Na 0.150 0.500 0.648 (multiplicity 2)
Na 0.159 0.155 0.595 (multiplicity 4)
Na 0.177 0.177 0.000 (multiplicity 4)
Na 0.192 0.500 0.283 (multiplicity 2)
Na 0.300 0.297 0.313 (multiplicity 4)
Na 0.409 0.000 0.720 (multiplicity 2)
Na 0.455 0.141 0.002 (multiplicity 4)
Na 0.487 0.203 0.688 (multiplicity 4)
Al 0.352 0.000 0.179 (multiplicity 2)
Ga 0.002 0.178 0.178 (multiplicity 4)
Ga 0.179 0.000 0.827 (multiplicity 2)
Ga 0.237 0.411 0.000 (multiplicity 4)
Ga 0.269 0.089 0.355 (multiplicity 4)
Ga 0.325 0.323 0.824 (multiplicity 4)
Ga 0.416 0.412 0.647 (multiplicity 4)

Main lines, sorted by position (15° ≤ 2θ ≤ 90°):
| Position (°2θ) | d [Å] | I_rel | index |
| --- | --- | --- | --- |
| 19.5 | 4.550 | 895 | 1 1 -2 |
| 22.6 | 3.942 | 153 | 0 4 0 |
| 34.1 | 2.629 | 1000 | 1 5 1 |
| 34.2 | 2.624 | 385 | 4 0 -3 |
| 37.8 | 2.378 | 804 | 2 0 2 |
| 37.9 | 2.371 | 267 | 2 0 -4 |
| 39.6 | 2.277 | 156 | 4 0 0 |
| 41.3 | 2.187 | 278 | 1 5 -3 |
| 44.5 | 2.036 | 146 | 1 7 1 |
| 61.1 | 1.516 | 328 | 7 1 -5 |